Structure and simulated powder X-ray diffraction pattern of Dy2Lu5Te2Ir2 (DFT lattice parameters and positions (GGA-PBE); Cu Kα (λ = 1.5418 Å)).
Peak positions follow from Bragg's law for the DFT cell and can differ from measured ones.

Main lines, in order of rising 2θ (10° ≤ 2θ ≤ 80°):
d 7.766, rel. 20
d 2.935, rel. 37
d 2.673, rel. 45
d 2.635, rel. 100
d 2.588, rel. 44
d 2.433, rel. 20
d 2.322, rel. 24
d 1.941, rel. 32
d 1.571, rel. 18
d 1.217, rel. 18

Structural model:
abc: 9.2737 9.2737 9.2737
angles: 155.83 66.27 119.35
Element x y z (fractional)
1 Dy 0.1837 0.0000 0.1837
2 Dy 0.8163 0.0000 0.8163
3 Lu 0.1584 0.7904 0.3680
4 Lu 0.4224 0.7904 0.6320
5 Lu 0.4936 0.6406 0.8530
6 Lu 0.7876 0.6406 0.1470
7 Lu 0.8693 0.3693 0.5000
8 Te 0.1385 0.1385 0.0000
9 Te 0.5338 0.0338 0.5000
10 Ir 0.0371 0.2979 0.7392
11 Ir 0.5588 0.2979 0.2608

***

Structure and simulated powder X-ray diffraction pattern of Mg2ReAg (DFT lattice parameters and positions (GGA-PBE); Cu Kα (λ = 1.5418 Å)).
Peak positions follow from Bragg's law for the DFT cell and can differ from measured ones.

Main lines, in order of rising 2θ (10° ≤ 2θ ≤ 80°):
d 3.773, rel. 65
d 3.268, rel. 5
d 2.311, rel. 100
d 1.971, rel. 34
d 1.887, rel. 2
d 1.634, rel. 17
d 1.499, rel. 14
d 1.461, rel. 2
d 1.334, rel. 34
d 1.258, rel. 11

Structural model:
abc: 4.6215 4.6215 4.6215
angles: 60.00 60.00 60.00
Element x y z (fractional)
1 Mg 0.0000 0.0000 0.0000
2 Mg 0.2500 0.2500 0.2500
3 Re 0.5000 0.5000 0.5000
4 Ag 0.7500 0.7500 0.7500

***

Structure and simulated powder X-ray diffraction pattern of Rb2Pt (DFT lattice parameters and positions (GGA-PBE); Cu Kα (λ = 1.5418 Å)).
Peak positions follow from Bragg's law for the DFT cell and can differ from measured ones.

Main lines, in order of rising 2θ (10° ≤ 2θ ≤ 80°):
d 8.117, rel. 100
d 4.970, rel. 37
d 4.058, rel. 13
d 3.225, rel. 35
d 2.870, rel. 19
d 2.485, rel. 24
d 2.376, rel. 31
d 1.969, rel. 18
d 1.879, rel. 12
d 1.543, rel. 12

Structural model:
abc: 9.9409 9.9409 9.9409
angles: 60.00 60.00 60.00
Element x y z (fractional)
1 Rb 0.0000 0.0000 0.0000
2 Rb 0.0000 0.0000 0.5000
3 Rb 0.0000 0.5000 0.0000
4 Rb 0.5000 0.0000 0.0000
5 Pt 0.1250 0.1250 0.1250
6 Pt 0.8750 0.8750 0.8750